Calculated PXRD pattern
Compound: RbSn8Au4
Radiation: a wavelength of 1.5418 Å
Structure: a PBE-relaxed structure

Most intense lines, 10 to 80 degrees two-theta, low angle first:
2θ/deg, d_spacing, I/Imax, (hkl)
31.6, 2.832, 14.0, 0 2 1
32.1, 2.789, 18.9, 0 0 12
33.3, 2.691, 100.0, 0 2 4
36.8, 2.443, 41.4, 0 2 7
38.3, 2.351, 54.4, 2 0 8
40.4, 2.231, 17.4, 0 0 15
43.6, 2.077, 36.7, 2 0 11
56.0, 1.641, 25.1, 2 2 0
62.0, 1.497, 15.1, 0 2 19
66.1, 1.414, 14.8, 2 2 12
66.8, 1.401, 14.0, 4 0 4
71.3, 1.322, 20.5, 2 2 15

Structural model:
Cell lengths 6.5636, 6.5636, 33.4710 Å; angles 90.00, 90.00, 120.00 degrees
Space group R-3m (No. 166, hexagonal axes)
Inequivalent atoms, fractional coordinates:
Rb 0.0000 0.0000 0.0000
Sn 0.0000 0.0000 0.2361
Sn 0.0012 0.5006 0.2344
Au 0.0000 0.0000 0.5000
Au 0.0000 0.5000 0.5000

Calculated PXRD pattern
Compound: CrRu2C
Radiation: a wavelength of 1.5418 Å
Structure: a PBE-relaxed structure

Most intense lines, 10 to 80 degrees two-theta, low angle first:
2θ/deg, d_spacing, I/Imax, (hkl)
31.7, 2.823, 100.0, 1 1 2
33.7, 2.658, 9.4, 1 0 3
36.0, 2.494, 11.3, 2 0 0
38.2, 2.355, 7.3, 0 0 4
41.6, 2.171, 21.2, 2 1 1
50.2, 1.819, 6.3, 2 1 3
51.8, 1.764, 16.0, 2 2 0
53.5, 1.712, 30.6, 2 0 4
56.2, 1.638, 6.9, 3 0 1
62.0, 1.496, 16.0, 3 1 2
65.0, 1.434, 11.8, 1 1 6
75.0, 1.266, 7.4, 3 2 3

Structural model:
Cell lengths 4.988, 4.988, 9.421 Å; angles 90.00, 90.00, 90.00 degrees
Space group I-42d (No. 122)
Inequivalent atoms, fractional coordinates:
Cr 0.000 0.000 0.000
Ru 0.191 0.250 0.625
C 0.000 0.000 0.500

Calculated PXRD pattern
Compound: LiLa2GaCu6
Radiation: a wavelength of 1.5418 Å
Structure: a PBE-relaxed structure

Most intense lines, 10 to 80 degrees two-theta, low angle first:
2θ/deg, d_spacing, I/Imax, (hkl)
14.5, 6.118, 40.5, 0 0 1
28.7, 3.109, 49.9, 1 1 -1
29.0, 3.083, 46.8, 1 -1 1
29.2, 3.057, 100.0, 0 0 2
29.5, 3.032, 23.4, 1 2 1
29.7, 3.011, 31.1, 0 2 0
40.8, 2.209, 88.6, 2 2 0
41.1, 2.194, 64.8, 0 2 -2
41.3, 2.185, 36.5, 2 0 0
41.4, 2.182, 30.0, 2 2 2
41.8, 2.159, 47.4, 1 0 -2
42.4, 2.130, 31.4, 1 -2 0

Structural model:
Cell lengths 5.113, 6.546, 6.632 Å; angles 83.54, 67.42, 67.04 degrees
Space group P-1 (No. 2)
Inequivalent atoms, fractional coordinates:
Li 0.000 0.000 0.000
La 0.455 0.301 0.788
Ga 0.000 0.500 0.500
Cu 0.001 0.767 0.731
Cu 0.176 0.073 0.577
Cu 0.499 0.233 0.269

Calculated PXRD pattern
Compound: Na5H29I2O24
Radiation: a wavelength of 1.5418 Å
Structure: a PBE-relaxed structure

Most intense lines, 10 to 80 degrees two-theta, low angle first:
2θ/deg, d_spacing, I/Imax, (hkl)
11.4, 7.795, 19.9, 0 1 0
11.7, 7.545, 100.0, 1 0 0
12.1, 7.290, 29.0, 1 1 0
13.3, 6.669, 74.5, 1 0 1
14.8, 5.967, 30.8, 0 1 -1
17.1, 5.181, 24.3, 1 0 -1
17.2, 5.141, 97.4, 1 1 -1
22.6, 3.943, 20.7, 0 1 -2
25.6, 3.482, 28.9, 1 -1 2
31.0, 2.889, 47.0, 3 1 1
34.2, 2.622, 37.6, 1 2 3
44.1, 2.055, 21.7, 1 4 -1

Structural model:
Cell lengths 8.759, 8.761, 9.364 Å; angles 84.12, 74.39, 62.87 degrees
Space group P-1 (No. 2)
Inequivalent atoms, fractional coordinates:
Na 0.000 0.000 0.000
Na 0.351 0.272 0.645
Na 0.355 0.753 0.121
H 0.058 0.662 0.201
H 0.084 0.845 0.733
H 0.088 0.013 0.656
H 0.154 0.553 0.818
H 0.155 0.603 0.035
H 0.204 0.133 0.087
H 0.249 0.497 0.435
H 0.267 0.924 0.401
H 0.296 0.734 0.423
H 0.318 0.949 0.727
H 0.319 0.036 0.928
H 0.342 0.521 0.841
H 0.423 0.402 0.171
H 0.478 0.106 0.299
H 0.500 0.500 0.000
I 0.055 0.327 0.415
O 0.032 0.296 0.232
O 0.033 0.415 0.618
O 0.103 0.114 0.488
O 0.114 0.697 0.106
O 0.118 0.937 0.741
O 0.209 0.595 0.506
O 0.257 0.024 0.031
O 0.259 0.468 0.853
O 0.285 0.304 0.359
O 0.352 0.804 0.365
O 0.403 0.993 0.730
O 0.475 0.584 0.890

Calculated PXRD pattern
Compound: Pm3Nd2SmP6
Radiation: a wavelength of 1.5418 Å
Structure: a PBE-relaxed structure

Most intense lines, 10 to 80 degrees two-theta, low angle first:
2θ/deg, d_spacing, I/Imax, (hkl)
26.4, 3.380, 80.5, 3 1 0
30.5, 2.927, 100.0, 6 0 0
43.7, 2.070, 73.4, 5 1 2
51.8, 1.765, 39.9, 9 1 0
54.3, 1.690, 25.8, 6 2 0
63.6, 1.464, 12.0, 12 0 0
70.1, 1.343, 16.1, 8 2 2
72.2, 1.309, 33.0, 11 1 2

Structural model:
Cell lengths 18.041, 4.142, 8.278 Å; angles 90.00, 103.28, 90.00 degrees
Space group C2/m (No. 12)
Inequivalent atoms, fractional coordinates:
Pm 0.000 0.000 0.000
Pm 0.167 0.500 0.334
Nd 0.166 0.500 0.833
Sm 0.000 0.000 0.500
P 0.001 0.500 0.251
P 0.166 0.000 0.085
P 0.166 0.000 0.582

Calculated PXRD pattern
Compound: BaY4Tl3O12
Radiation: a wavelength of 1.5418 Å
Structure: a PBE-relaxed structure

Most intense lines, 10 to 80 degrees two-theta, low angle first:
2θ/deg, d_spacing, I/Imax, (hkl)
14.7, 6.036, 2.4, 1 1 0
20.8, 4.268, 12.3, 2 0 0
25.6, 3.485, 2.1, 2 1 1
29.6, 3.018, 100.0, 2 2 0
36.5, 2.464, 7.4, 2 2 2
42.4, 2.134, 23.1, 4 0 0
47.6, 1.909, 5.7, 4 2 0
52.5, 1.742, 48.2, 4 2 2
61.4, 1.509, 13.7, 4 4 0
65.6, 1.423, 4.3, 6 0 0
69.7, 1.350, 18.7, 6 0 2
77.5, 1.232, 4.8, 4 4 4

Structural model:
Cell lengths 8.536, 8.536, 8.536 Å; angles 90.00, 90.00, 90.00 degrees
Space group Im-3 (No. 204)
Inequivalent atoms, fractional coordinates:
Ba 0.000 0.000 0.000
Y 0.250 0.250 0.250
Tl 0.000 0.000 0.500
O 0.000 0.173 0.308

Calculated PXRD pattern
Compound: La5Ag2Ru2
Radiation: a wavelength of 1.5418 Å
Structure: a PBE-relaxed structure

Most intense lines, 10 to 80 degrees two-theta, low angle first:
2θ/deg, d_spacing, I/Imax, (hkl)
25.8, 3.451, 31.7, 5 1 0
29.5, 3.033, 55.0, 1 2 1
30.0, 2.978, 27.8, 4 0 2
30.6, 2.918, 66.7, 3 1 2
32.1, 2.789, 100.0, 3 2 1
32.2, 2.779, 63.6, 6 1 1
34.0, 2.640, 28.4, 7 1 0
35.6, 2.523, 33.0, 5 1 2
36.2, 2.482, 48.5, 6 0 2
38.9, 2.316, 28.6, 0 1 3
40.0, 2.256, 25.9, 2 1 3
45.9, 1.977, 27.0, 4 3 1

Structural model:
Cell lengths 20.085, 6.744, 7.396 Å; angles 90.00, 90.00, 90.00 degrees
Space group Ima2 (No. 46)
Inequivalent atoms, fractional coordinates:
La 0.075 0.155 0.000
La 0.164 0.665 0.149
La 0.250 0.153 0.270
Ag 0.055 0.622 0.861
Ru 0.000 0.000 0.748
Ru 0.250 0.529 0.443

Calculated PXRD pattern
Compound: Nd4AlCl5
Radiation: a wavelength of 1.5418 Å
Structure: a PBE-relaxed structure

Most intense lines, 10 to 80 degrees two-theta, low angle first:
2θ/deg, d_spacing, I/Imax, (hkl)
10.5, 8.419, 62.1, 0 0 1
16.1, 5.506, 26.6, 2 0 1
20.0, 4.447, 18.4, 4 0 -1
25.5, 3.496, 17.4, 2 0 2
26.7, 3.337, 29.4, 3 1 0
29.8, 2.997, 51.3, 6 0 0
30.3, 2.949, 100.0, 1 1 -2
41.6, 2.172, 19.1, 2 0 -4
42.8, 2.111, 34.8, 7 1 -2
43.2, 2.093, 36.3, 5 1 2
45.1, 2.009, 16.4, 0 2 0
55.0, 1.669, 17.2, 6 2 0

Structural model:
Cell lengths 18.554, 4.018, 8.687 Å; angles 90.00, 104.26, 90.00 degrees
Space group C2/m (No. 12)
Inequivalent atoms, fractional coordinates:
Nd 0.000 0.000 0.244
Nd 0.158 0.500 0.094
Al 0.000 0.500 0.000
Cl 0.000 0.500 0.500
Cl 0.166 0.000 0.327
Cl 0.172 0.000 0.860